(1)
# CdPbO6
Simulated XRD peak list, Cu Kα, 1.54184 Å. Input: a cell relaxed with GGA-PBE.
Lines closer than 0.1° are merged.

Main lines, by angle (10 to 90 degrees two-theta):
2θ = 19.49°, rel. 16
2θ = 22.54°, rel. 99
2θ = 32.09°, rel. 100
2θ = 37.82°, rel. 12
2θ = 39.57°, rel. 45
2θ = 46.02°, rel. 19
2θ = 51.83°, rel. 61
2θ = 57.21°, rel. 39
2θ = 71.80°, rel. 24
2θ = 76.35°, rel. 19
2θ = 80.82°, rel. 14
2θ = 89.61°, rel. 13

Structural model:
```
32
Lattice="7.8888 0.0000 0.0000 0.0000 7.8888 0.0000 0.0000 0.0000 7.8888" Properties=species:S:1:pos:R:3 pbc="T T T"
Cd 0.0000 0.0000 0.0000
Cd 0.0000 3.9444 3.9444
Cd 3.9444 0.0000 3.9444
Cd 3.9444 3.9444 0.0000
Pb 0.0000 0.0000 3.9444
Pb 0.0000 3.9444 0.0000
Pb 3.9444 0.0000 0.0000
Pb 3.9444 3.9444 3.9444
O 0.6845 5.8628 5.2275
O 0.6845 5.9704 6.6057
O 1.2831 4.6289 2.0260
O 1.2831 7.2043 1.9184
O 1.9184 1.2831 7.2043
O 1.9184 2.6613 4.6289
O 2.0260 1.2831 4.6289
O 2.0260 2.6613 7.2043
O 2.6613 4.6289 1.9184
O 2.6613 7.2043 2.0260
O 3.2599 5.8628 6.6057
O 3.2599 5.9704 5.2275
O 4.6289 1.9184 2.6613
O 4.6289 2.0260 1.2831
O 5.2275 0.6845 5.8628
O 5.2275 3.2599 5.9704
O 5.8628 5.2275 0.6845
O 5.8628 6.6057 3.2599
O 5.9704 5.2275 3.2599
O 5.9704 6.6057 0.6845
O 6.6057 0.6845 5.9704
O 6.6057 3.2599 5.8628
O 7.2043 1.9184 1.2831
O 7.2043 2.0260 2.6613
```

(2)
# Mg3BO4
Simulated XRD peak list, Cu Kα, 1.54184 Å. Input: a cell relaxed with GGA-PBE.
Lines closer than 0.1° are merged.

Main lines, by angle (10 to 90 degrees two-theta):
2θ = 21.26°, rel. 8
2θ = 30.24°, rel. 8
2θ = 37.27°, rel. 4
2θ = 43.30°, rel. 100
2θ = 48.72°, rel. 5
2θ = 53.73°, rel. 3
2θ = 62.90°, rel. 54
2θ = 67.20°, rel. 2
2θ = 71.37°, rel. 1
2θ = 75.44°, rel. 4
2θ = 79.44°, rel. 16
2θ = 87.30°, rel. 1

Structural model:
```
8
Lattice="4.1791 0.0000 0.0000 0.0000 4.1791 0.0000 0.0000 0.0000 4.1791" Properties=species:S:1:pos:R:3 pbc="T T T"
Mg 0.0000 0.0000 2.0895
Mg 0.0000 2.0895 0.0000
Mg 2.0895 0.0000 0.0000
B 2.0895 2.0895 2.0895
O 0.0000 0.0000 0.0000
O 0.0000 2.0895 2.0895
O 2.0895 0.0000 2.0895
O 2.0895 2.0895 0.0000
```

(3)
# Pu2C3
Simulated XRD peak list, Cu Kα, 1.54184 Å. Input: a cell relaxed with GGA-PBE.
Lines closer than 0.1° are merged.

Main lines, by angle (10 to 90 degrees two-theta):
2θ = 26.78°, rel. 47
2θ = 31.03°, rel. 100
2θ = 34.80°, rel. 86
2θ = 41.44°, rel. 43
2θ = 52.66°, rel. 27
2θ = 55.19°, rel. 15
2θ = 57.65°, rel. 60
2θ = 62.39°, rel. 30
2θ = 71.31°, rel. 11
2θ = 75.59°, rel. 18
2θ = 83.92°, rel. 10
2θ = 88.03°, rel. 21

Structural model:
```
20
Lattice="-4.0764 4.0764 4.0764 4.0764 -4.0764 4.0764 4.0764 4.0764 -4.0764" Properties=species:S:1:pos:R:3 pbc="T T T"
Pu 2.4403 1.6361 -1.6361
Pu 4.4785 -0.4021 0.4021
Pu 1.6361 -1.6361 2.4403
Pu 1.6361 1.6361 1.6361
Pu -1.6361 2.4403 1.6361
Pu 0.4021 4.4785 -0.4021
Pu -0.4021 0.4021 4.4785
Pu 3.6744 3.6744 3.6744
C 4.0764 -2.0382 2.3640
C 4.0764 -2.0382 3.7506
C 2.3640 4.0764 -2.0382
C 3.7506 4.0764 -2.0382
C 4.0764 2.0382 0.3258
C 4.0764 2.0382 1.7124
C 2.0382 0.3258 4.0764
C 2.0382 1.7124 4.0764
C 0.3258 4.0764 2.0382
C 1.7124 4.0764 2.0382
C -2.0382 2.3640 4.0764
C -2.0382 3.7506 4.0764
```

(4)
# GdAu3C6N6O3
Simulated XRD peak list, Cu Kα, 1.54184 Å. Input: a cell relaxed with GGA-PBE.
Lines closer than 0.1° are merged.

Main lines, by angle (10 to 90 degrees two-theta):
2θ = 10.01°, rel. 61
2θ = 17.88°, rel. 100
2θ = 20.11°, rel. 44
2θ = 27.67°, rel. 29
2θ = 29.80°, rel. 61
2θ = 31.51°, rel. 39
2θ = 33.92°, rel. 17
2θ = 36.21°, rel. 81
2θ = 41.12°, rel. 23
2θ = 50.84°, rel. 14
2θ = 51.39°, rel. 28
2θ = 57.15°, rel. 22

Structural model:
```
38
Lattice="6.9244 0.0000 0.0000 -3.4622 5.9967 0.0000 0.0000 0.0000 17.6643" Properties=species:S:1:pos:R:3 pbc="T T T"
Gd 0.0000 0.0000 4.4161
Gd 0.0000 0.0000 13.2483
Au -1.7311 2.9983 0.0000
Au -1.7311 2.9983 8.8322
Au 3.4622 0.0000 0.0000
Au 3.4622 0.0000 8.8322
Au 1.7311 2.9983 0.0000
Au 1.7311 2.9983 8.8322
C -1.2111 2.0977 1.7034
C -1.2111 2.0977 7.1288
C -2.2511 3.8990 10.5356
C -2.2511 3.8990 15.9610
C 2.4222 0.0000 1.7034
C 2.4222 0.0000 7.1288
C 1.2111 2.0977 10.5356
C 1.2111 2.0977 15.9610
C 4.5022 0.0000 10.5356
C 4.5022 0.0000 15.9610
C 2.2511 3.8990 1.7034
C 2.2511 3.8990 7.1288
N -0.8798 1.5238 2.6673
N -0.8798 1.5238 6.1648
N -2.5824 4.4729 11.4995
N -2.5824 4.4729 14.9970
N 1.7595 0.0000 2.6673
N 1.7595 0.0000 6.1648
N 0.8798 1.5238 11.4995
N 0.8798 1.5238 14.9970
N 5.1648 0.0000 11.4995
N 5.1648 0.0000 14.9970
N 2.5824 4.4729 2.6673
N 2.5824 4.4729 6.1648
O -1.2121 2.0995 13.2483
O -2.2501 3.8972 4.4161
O 2.4242 0.0000 13.2483
O 1.2121 2.0995 4.4161
O 4.5001 0.0000 4.4161
O 2.2501 3.8972 13.2483
```

(5)
# K4EuP2S8
Simulated XRD peak list, Cu Kα, 1.54184 Å. Input: a cell relaxed with GGA-PBE.
Lines closer than 0.1° are merged.

Main lines, by angle (10 to 90 degrees two-theta):
2θ = 11.03°, rel. 100
2θ = 21.19°, rel. 37
2θ = 25.26°, rel. 53
2θ = 26.50°, rel. 67
2θ = 27.00°, rel. 37
2θ = 27.86°, rel. 29
2θ = 30.49°, rel. 50
2θ = 31.96°, rel. 41
2θ = 33.37°, rel. 64
2θ = 33.45°, rel. 26
2θ = 35.06°, rel. 26
2θ = 36.53°, rel. 31

Structural model:
```
30
Lattice="8.9085 0.0000 0.0000 -0.0221 9.8389 0.0000 -4.4208 -4.9191 9.2154" Properties=species:S:1:pos:R:3 pbc="T T T"
K 0.0000 0.0000 0.0000
K 0.0017 4.9675 0.0148
K -1.1094 2.5087 3.1823
K -1.1125 -2.4260 6.3054
K 1.0575 7.4152 3.2113
K 1.1089 2.4940 6.2334
K 4.4310 0.0016 0.2943
K 4.4567 4.9401 0.3160
Eu 4.4268 4.9419 4.7483
Eu 4.4672 0.0520 4.7274
P -2.6062 2.5038 7.1237
P 2.6434 2.5021 2.3543
P 2.6441 -2.4386 7.0954
P 6.2633 7.4031 2.3791
S -1.7959 0.8445 6.2228
S -1.7858 4.1568 6.2239
S -2.2629 2.4880 9.1374
S 2.2727 2.5217 0.3508
S 1.8225 0.8337 3.2308
S 1.8473 4.1649 3.2619
S 1.7963 5.7385 6.2112
S 1.8250 -0.7699 6.2087
S 4.2405 7.4077 2.8321
S 4.6745 2.4937 2.7801
S 2.3029 -2.4520 9.1052
S 6.6235 7.4017 0.3697
S 4.2672 2.5076 6.7126
S 4.6679 -2.4250 6.6495
S 7.0792 5.7293 3.2455
S 7.0899 -0.7725 3.2807
```

(6)
# TbTe
Simulated XRD peak list, Cu Kα, 1.54184 Å. Input: a cell relaxed with GGA-PBE.
Lines closer than 0.1° are merged.

Main lines, by angle (10 to 90 degrees two-theta):
2θ = 24.98°, rel. 37
2θ = 33.41°, rel. 100
2θ = 44.01°, rel. 31
2θ = 44.49°, rel. 10
2θ = 51.27°, rel. 5
2θ = 51.70°, rel. 10
2θ = 56.36°, rel. 22
2θ = 64.37°, rel. 20
2θ = 74.14°, rel. 20
2θ = 74.85°, rel. 10
2θ = 80.92°, rel. 5
2θ = 86.66°, rel. 5

Structural model:
```
2
Lattice="4.1154 0.0000 0.0000 -2.0577 3.5640 0.0000 0.0000 0.0000 4.0725" Properties=species:S:1:pos:R:3 pbc="T T T"
Tb 0.0000 0.0000 0.0000
Te 2.0577 1.1880 2.0363
```

(7)
# SiO2
Simulated XRD peak list, Cu Kα, 1.54184 Å. Input: a cell relaxed with GGA-PBE.
Lines closer than 0.1° are merged.

Main lines, by angle (10 to 90 degrees two-theta):
2θ = 20.06°, rel. 100
2θ = 20.19°, rel. 46
2θ = 20.83°, rel. 97
2θ = 22.41°, rel. 34
2θ = 22.75°, rel. 33
2θ = 22.85°, rel. 32
2θ = 28.72°, rel. 14
2θ = 29.16°, rel. 15
2θ = 35.04°, rel. 18
2θ = 35.27°, rel. 25
2θ = 42.42°, rel. 18
2θ = 56.22°, rel. 8

Structural model:
```
12
Lattice="2.5620 -4.3988 0.0000 2.5620 4.3988 0.0000 -0.2353 0.0000 8.5297" Properties=species:S:1:pos:R:3 pbc="T T T"
Si 2.4444 3.1595 4.2649
Si 2.3528 2.6989 7.4585
Si 2.4704 -2.6989 3.1937
Si 2.5620 -3.1595 0.0000
O 0.2491 0.3184 3.9798
O 0.1314 -0.3184 8.2447
O 2.4671 2.9211 5.8623
O 3.5251 2.1864 3.5441
O 3.4141 1.5574 7.9218
O 2.5847 -2.9211 1.5974
O 3.5317 -1.5574 3.6570
O 3.4075 -2.1864 7.8089
```